[1]
This entry pairs a crystal structure of Ba4Si22Au with its theoretical PXRD pattern. Radiation: CuKα. Structure: a DFT-relaxed cell (GGA-PBE, Alexandria).

Principal peaks in the range 2θ from 10° to 90°, low angle first:
| 2θ/deg | I/Imax |
| --- | --- |
| 12.00 | 25 |
| 20.86 | 61 |
| 29.65 | 56 |
| 32.05 | 100 |
| 32.16 | 62 |
| 34.47 | 30 |
| 38.64 | 19 |
| 54.25 | 29 |

Cell and atoms:
```
data_Ba4Si22Au
_chemical_formula_sum 'Ba16 Si88 Au4'
_symmetry_space_group_name_H-M 'A m a 2'
_symmetry_Int_Tables_number 40
_cell_length_a 10.4915
_cell_length_b 14.7159
_cell_length_c 14.7245
_cell_angle_alpha 90.00
_cell_angle_beta 90.00
_cell_angle_gamma 90.00
loop_
_symmetry_equiv_pos_as_xyz
'x,y,z'
'-x,-y,z'
'-x+1/2,y,z'
'x+1/2,-y,z'
'x,y+1/2,z+1/2'
'-x,-y+1/2,z+1/2'
'-x+1/2,y+1/2,z+1/2'
'x+1/2,-y+1/2,z+1/2'
loop_
_atom_site_label
_atom_site_type_symbol
_atom_site_fract_x
_atom_site_fract_y
_atom_site_fract_z
_atom_site_occupancy
Ba1 Ba 0.0000 0.0000 0.0000 1
Ba2 Ba 0.2500 0.1218 0.3544 1
Ba3 Ba 0.2500 0.2503 0.7392 1
Ba4 Ba 0.2500 0.3662 0.1089 1
Si1 Si 0.0000 0.0000 0.4872 1
Si2 Si 0.0544 0.1927 0.1790 1
Si3 Si 0.0559 0.3112 0.2966 1
Si4 Si 0.0632 0.2481 0.9227 1
Si5 Si 0.0636 0.4328 0.7405 1
Si6 Si 0.0654 0.2475 0.5534 1
Si7 Si 0.0660 0.0638 0.7380 1
Si8 Si 0.1269 0.4021 0.8932 1
Si9 Si 0.1320 0.0942 0.5846 1
Si10 Si 0.2500 0.0367 0.8321 1
Si11 Si 0.2500 0.1555 0.9490 1
Si12 Si 0.2500 0.3413 0.5267 1
Si13 Si 0.2500 0.3741 0.3642 1
Si14 Si 0.2500 0.4596 0.6478 1
Au1 Au 0.2500 0.1238 0.1137 1
```

---

[2]
This entry pairs a crystal structure of Sn2HgPb4 with its theoretical PXRD pattern. Radiation: CuKα. Structure: a DFT-relaxed cell (GGA-PBE, Alexandria).

Principal peaks in the range 2θ from 10° to 90°, low angle first:
| 2θ/deg | I/Imax |
| --- | --- |
| 22.64 | 12 |
| 31.98 | 29 |
| 32.49 | 28 |
| 33.72 | 100 |
| 46.23 | 21 |
| 58.11 | 22 |
| 58.75 | 21 |
| 70.92 | 12 |

Cell and atoms:
```
data_Sn2HgPb4
_chemical_formula_sum 'Sn8 Hg4 Pb16'
_symmetry_space_group_name_H-M 'C c c m'
_symmetry_Int_Tables_number 66
_symmetry_space_group_name_Hall '-C 2 2c'
_cell_length_a 7.2195
_cell_length_b 11.0238
_cell_length_c 11.1955
_cell_angle_alpha 90.00
_cell_angle_beta 90.00
_cell_angle_gamma 90.00
loop_
_atom_site_label
_atom_site_type_symbol
_atom_site_fract_x
_atom_site_fract_y
_atom_site_fract_z
_atom_site_occupancy
Sn1 Sn 0.0007 0.2469 0.0000 1
Hg1 Hg 0.0000 0.5000 0.2500 1
Pb1 Pb 0.2499 0.9997 0.0000 1
Pb2 Pb 0.2500 0.2500 0.2504 1
```

---

[3]
This entry pairs a crystal structure of Tb12SmSc2 with its theoretical PXRD pattern. Radiation: CuKα. Structure: a DFT-relaxed cell (GGA-PBE, Alexandria).

Principal peaks in the range 2θ from 10° to 90°, low angle first:
| 2θ/deg | I/Imax |
| --- | --- |
| 31.16 | 100 |
| 31.80 | 95 |
| 34.98 | 63 |
| 37.13 | 36 |
| 51.17 | 14 |
| 51.93 | 41 |
| 61.13 | 31 |
| 61.51 | 29 |

Cell and atoms:
```
data_Tb12SmSc2
_chemical_formula_sum 'Tb12 Sm1 Sc2'
_symmetry_space_group_name_H-M 'P 1 2/m 1'
_symmetry_Int_Tables_number 10
_cell_length_a 3.5705
_cell_length_b 4.8427
_cell_length_c 27.7195
_cell_angle_alpha 90.00
_cell_angle_beta 93.69
_cell_angle_gamma 90.00
loop_
_symmetry_equiv_pos_as_xyz
'x,y,z'
'-x,-y,-z'
'-x,y,-z'
'x,-y,z'
loop_
_atom_site_label
_atom_site_type_symbol
_atom_site_fract_x
_atom_site_fract_y
_atom_site_fract_z
_atom_site_occupancy
Tb1 Tb 0.0331 0.0000 0.0666 1
Tb2 Tb 0.0966 0.0000 0.1969 1
Tb3 Tb 0.1588 0.0000 0.3204 1
Tb4 Tb 0.2232 0.0000 0.4475 1
Tb5 Tb 0.3096 0.5000 0.6180 1
Tb6 Tb 0.4357 0.5000 0.8683 1
Sm1 Sm 0.5000 0.5000 0.0000 1
Sc1 Sc 0.3720 0.5000 0.7416 1
```

---

[4]
This entry pairs a crystal structure of LaSc2Zn9 with its theoretical PXRD pattern. Radiation: CuKα. Structure: a DFT-relaxed cell (GGA-PBE, Alexandria).

Principal peaks in the range 2θ from 10° to 90°, low angle first:
| 2θ/deg | I/Imax |
| --- | --- |
| 33.33 | 24 |
| 38.84 | 30 |
| 39.68 | 100 |
| 42.59 | 26 |
| 42.70 | 21 |
| 63.85 | 23 |
| 69.99 | 21 |
| 85.51 | 21 |

Cell and atoms:
```
data_LaSc2Zn9
_chemical_formula_sum 'La3 Sc6 Zn27'
_symmetry_space_group_name_H-M 'R -3 m'
_symmetry_Int_Tables_number 166
_symmetry_space_group_name_Hall '-R 3 2"'
_cell_length_a 5.3767
_cell_length_b 5.3767
_cell_length_c 25.4725
_cell_angle_alpha 90.00
_cell_angle_beta 90.00
_cell_angle_gamma 120.00
loop_
_atom_site_label
_atom_site_type_symbol
_atom_site_fract_x
_atom_site_fract_y
_atom_site_fract_z
_atom_site_occupancy
La1 La 0.0000 0.0000 0.0000 1
Sc1 Sc 0.0000 0.0000 0.1451 1
Zn1 Zn 0.0000 0.0000 0.3354 1
Zn2 Zn 0.0000 0.0000 0.5000 1
Zn3 Zn 0.0086 0.5043 0.9139 1
```

---

[5]
This entry pairs a crystal structure of AcDy8Y3 with its theoretical PXRD pattern. Radiation: CuKα. Structure: a DFT-relaxed cell (GGA-PBE, Alexandria).

Principal peaks in the range 2θ from 10° to 90°, low angle first:
| 2θ/deg | I/Imax |
| --- | --- |
| 28.18 | 24 |
| 31.32 | 24 |
| 32.32 | 100 |
| 42.63 | 16 |
| 49.88 | 20 |
| 56.38 | 21 |
| 60.08 | 22 |
| 60.66 | 11 |

Cell and atoms:
```
data_AcDy8Y3
_chemical_formula_sum 'Ac2 Dy16 Y6'
_symmetry_space_group_name_H-M 'C 1 m 1'
_symmetry_Int_Tables_number 8
_cell_length_a 12.6710
_cell_length_b 11.4248
_cell_length_c 6.3273
_cell_angle_alpha 90.00
_cell_angle_beta 119.93
_cell_angle_gamma 90.00
loop_
_symmetry_equiv_pos_as_xyz
'x,y,z'
'x,-y,z'
'x+1/2,y+1/2,z'
'x+1/2,-y+1/2,z'
loop_
_atom_site_label
_atom_site_type_symbol
_atom_site_fract_x
_atom_site_fract_y
_atom_site_fract_z
_atom_site_occupancy
Ac1 Ac 0.0000 0.0000 0.0000 1
Dy1 Dy 0.1644 0.5000 0.6710 1
Dy2 Dy 0.1688 0.2543 0.0059 1
Dy3 Dy 0.1713 0.0000 0.6798 1
Dy4 Dy 0.3287 0.5000 0.3369 1
Dy5 Dy 0.3319 0.2459 0.6691 1
Dy6 Dy 0.3352 0.0000 0.3413 1
Y1 Y 0.0003 0.2522 0.3428 1
Y2 Y 0.9999 0.5000 0.0048 1
```

---

[6]
This entry pairs a crystal structure of Rb2PaTeS6 with its theoretical PXRD pattern. Radiation: CuKα. Structure: a DFT-relaxed cell (GGA-PBE, Alexandria).

Principal peaks in the range 2θ from 10° to 90°, low angle first:
| 2θ/deg | I/Imax |
| --- | --- |
| 13.96 | 50 |
| 14.55 | 58 |
| 21.55 | 38 |
| 23.95 | 100 |
| 27.47 | 40 |
| 32.43 | 51 |
| 36.76 | 32 |
| 49.04 | 35 |

Cell and atoms:
```
data_Rb2PaTeS6
_chemical_formula_sum 'Rb12 Pa6 Te6 S36'
_symmetry_space_group_name_H-M 'R -3 m'
_symmetry_Int_Tables_number 166
_symmetry_space_group_name_Hall '-R 3 2"'
_cell_length_a 7.4303
_cell_length_b 7.4303
_cell_length_c 37.6105
_cell_angle_alpha 90.00
_cell_angle_beta 90.00
_cell_angle_gamma 120.00
loop_
_atom_site_label
_atom_site_type_symbol
_atom_site_fract_x
_atom_site_fract_y
_atom_site_fract_z
_atom_site_occupancy
Rb1 Rb 0.0000 0.0000 0.1252 1
Rb2 Rb 0.0000 0.0000 0.2972 1
Pa1 Pa 0.0000 0.0000 0.4117 1
Te1 Te 0.0000 0.0000 0.0000 1
Te2 Te 0.0000 0.0000 0.5000 1
S1 S 0.0054 0.5027 0.7091 1
S2 S 0.0193 0.5096 0.1270 1
```